Starting from DFT lattice parameters and positions (PBE+U), the X-ray powder pattern of CaMg6FeO8 was calculated for Cu Kα, 1.54184 Å.
Kinematic intensities with the Lorentz-polarization factor, no thermal factor.

Cell lengths 4.4012, 4.4012, 8.6425 Å; angles 90.00, 90.00, 90.00 degrees
Space group P4/mmm (No. 123)
One atom of each set of equivalent atoms:
Ca 0.0000 0.0000 0.0000 x1
Mg 0.0000 0.5000 0.2569 x4
Mg 0.5000 0.5000 0.0000 x1
Mg 0.5000 0.5000 0.5000 x1
Fe 0.0000 0.0000 0.5000 x1
O 0.0000 0.0000 0.2622 x2
O 0.0000 0.5000 0.0000 x2
O 0.0000 0.5000 0.5000 x2
O 0.5000 0.5000 0.2504 x2

Principal peaks in the range 2θ from 10° to 80°, most intense first:
2theta  Rel. int.
41.0  100
60.0  54
41.8  46
35.5  31
59.4  29
75.3  25
20.2  11
71.2  11
29.0  9
20.6  6